Calculated powder X-ray diffraction pattern
Compound: La3BeBiS7
Radiation: a wavelength of 1.5418 Å
Structure: a structure optimized by DFT (PBE)

Structural model:
abc: 10.3117 10.3117 6.2803
angles: 90.00 90.00 120.00
Fractional positions:
La 0.1363 0.3977 0.0000
La 0.2614 0.8637 0.0000
La 0.3977 0.2614 0.5000
La 0.6023 0.7386 0.0000
La 0.7386 0.1363 0.5000
La 0.8637 0.6023 0.5000
Be 0.3333 0.6667 0.4123
Be 0.6667 0.3333 0.9123
Bi 0.0000 0.0000 0.2626
Bi 0.0000 0.0000 0.7626
S 0.0870 0.2549 0.5292
S 0.1173 0.5967 0.2802
S 0.1679 0.9130 0.5292
S 0.2549 0.1679 0.0292
S 0.3333 0.6667 0.7601
S 0.4033 0.5206 0.2802
S 0.4794 0.8827 0.2802
S 0.5206 0.1173 0.7802
S 0.5967 0.4794 0.7802
S 0.6667 0.3333 0.2601
S 0.7451 0.8321 0.5292
S 0.8321 0.0870 0.0292
S 0.8827 0.4033 0.7802
S 0.9130 0.7451 0.0292

Main lines, low angle first (2θ = 10–90°):
17.24 deg, I 51, hkl 1 0 1
22.31 deg, I 30, hkl 1 1 1
24.46 deg, I 33, hkl 2 0 1
26.41 deg, I 100, hkl 1 2 0
33.31 deg, I 31, hkl 3 0 1
33.41 deg, I 56, hkl 1 1 2
34.93 deg, I 55, hkl 2 0 2
39.15 deg, I 62, hkl 3 1 1
46.62 deg, I 47, hkl 4 1 0
46.71 deg, I 30, hkl 3 1 2